No. 1
This entry pairs a crystal structure of K3Ga2Bi4 with its computed powder X-ray diffraction pattern. Radiation: CuKα. Structure: a structure optimized by DFT (GGA-PBE).

Principal peaks in the range 10 to 90 degrees two-theta, by intensity:
- d 4.353, 2θ = 20.40°, rel. 100
- d 6.872, 2θ = 12.88°, rel. 78
- d 3.077, 2θ = 29.02°, rel. 72
- d 3.988, 2θ = 22.29°, rel. 65
- d 2.297, 2θ = 39.22°, rel. 64
- d 4.883, 2θ = 18.17°, rel. 63
- d 3.057, 2θ = 29.21°, rel. 52
- d 3.423, 2θ = 26.03°, rel. 47

Atomic structure:
```
K3Ga2Bi4
1.0
7.168 -6.163 0.000
7.168 6.163 0.000
-2.373 0.000 8.004
K Ga Bi
6 4 8
Cartesian
5.388 4.993 6.003
4.196 1.452 3.385
3.010 -1.452 7.386
8.953 1.452 0.617
7.767 -1.452 4.619
6.575 -4.993 2.001
2.856 1.347 0.097
1.670 -1.347 4.099
10.293 1.347 3.905
9.107 -1.347 7.907
1.089 1.181 5.321
3.137 2.266 7.477
2.276 -1.181 1.319
7.639 2.266 4.529
4.324 -2.266 3.475
9.687 1.181 6.685
8.825 -2.266 0.527
10.874 -1.181 2.683
```

No. 2
This entry pairs a crystal structure of KGaBi2 with its computed powder X-ray diffraction pattern. Radiation: CuKα. Structure: a structure optimized by DFT (GGA-PBE).

Principal peaks in the range 10 to 90 degrees two-theta, by intensity:
- d 2.948, 2θ = 30.32°, rel. 100
- d 4.535, 2θ = 19.57°, rel. 94
- d 3.433, 2θ = 25.96°, rel. 84
- d 2.804, 2θ = 31.91°, rel. 79
- d 3.226, 2θ = 27.65°, rel. 44
- d 5.447, 2θ = 16.27°, rel. 36
- d 2.163, 2θ = 41.77°, rel. 34
- d 2.291, 2θ = 39.33°, rel. 26

Atomic structure:
```
KGaBi2
1.0
3.274 -6.860 0.000
3.274 6.860 0.000
-2.818 0.000 6.044
K Ga Bi
2 2 4
Cartesian
1.160 5.116 4.533
2.569 -5.116 1.511
2.569 3.205 1.511
1.160 -3.205 4.533
-0.259 1.561 5.202
1.150 -1.561 2.180
2.579 1.561 3.864
3.988 -1.561 0.842
```

No. 3
This entry pairs a crystal structure of KGaBi3 with its computed powder X-ray diffraction pattern. Radiation: CuKα. Structure: a structure optimized by DFT (GGA-PBE).

Principal peaks in the range 10 to 90 degrees two-theta, by intensity:
- d 2.864, 2θ = 31.23°, rel. 100
- d 4.926, 2θ = 18.01°, rel. 43
- d 3.158, 2θ = 28.26°, rel. 40
- d 2.163, 2θ = 41.77°, rel. 29
- d 4.036, 2θ = 22.03°, rel. 28
- d 2.447, 2θ = 36.72°, rel. 25
- d 3.405, 2θ = 26.17°, rel. 20
- d 2.463, 2θ = 36.48°, rel. 19

Atomic structure:
```
KGaBi3
1.0
7.039 0.000 0.000
0.000 6.811 0.000
-0.012 0.000 7.132
K Ga Bi
2 2 6
Cartesian
1.750 0.000 1.664
5.277 3.405 5.468
1.751 2.301 4.305
5.276 5.706 2.827
-0.003 3.307 2.089
7.030 6.712 5.044
1.758 4.331 6.376
3.507 3.306 2.094
3.520 6.711 5.038
5.270 0.925 0.756
```